1.
For Ba9Cd3N2, a crystal structure in Alexandria, relaxed with PBE gives the theoretical powder XRD pattern in this record (Cu Kα (λ = 1.5418 Å)).

Crystal structure
```
data_Ba9Cd3N2
_symmetry_space_group_name_H-M 'P 63/m m c'
_symmetry_Int_Tables_number 194
_symmetry_space_group_name_Hall '-P 6c 2c'
_cell_length_a 8.0738
_cell_length_b 8.0738
_cell_length_c 20.2336
_cell_angle_alpha 90.00
_cell_angle_beta 90.00
_cell_angle_gamma 120.00
loop_
_atom_site_label
_atom_site_type_symbol
_atom_site_fract_x
_atom_site_fract_y
_atom_site_fract_z
Ba1 Ba 0.0229 0.5115 0.2500
Ba2 Ba 0.1744 0.3489 0.0893
Cd1 Cd 0.0000 0.0000 0.2500
Cd2 Cd 0.3333 0.6667 0.5721
N1 N 0.3333 0.6667 0.1617
```

The 6 most intense peaks (5 to 70 degrees two-theta), in order of rising 2θ:
| two_theta | I_rel | h k l |
| --- | --- | --- |
| 26.4 | 59 | 0 0 6 |
| 27.0 | 85 | 2 0 2 |
| 28.8 | 100 | 2 0 3 |
| 31.1 | 67 | 2 0 4 |
| 44.9 | 44 | 2 2 0 |
| 52.9 | 48 | 2 2 6 |

2.
For Ba5Cd2N2, a crystal structure in Alexandria, relaxed with PBE gives the theoretical powder XRD pattern in this record (Cu Kα (λ = 1.5418 Å)).

Crystal structure
```
data_Ba5Cd2N2
_symmetry_space_group_name_H-M 'C 1 2/m 1'
_symmetry_Int_Tables_number 12
_symmetry_space_group_name_Hall '-C 2y'
_cell_length_a 16.2006
_cell_length_b 5.5587
_cell_length_c 7.7552
_cell_angle_alpha 90.00
_cell_angle_beta 95.40
_cell_angle_gamma 90.00
loop_
_atom_site_label
_atom_site_type_symbol
_atom_site_fract_x
_atom_site_fract_y
_atom_site_fract_z
Ba1 Ba 0.0000 0.0000 0.0000
Ba2 Ba 0.1388 0.0000 0.5807
Ba3 Ba 0.1761 0.5000 0.9914
Cd1 Cd 0.0219 0.5000 0.3268
N1 N 0.1630 0.0000 0.8962
```

The 6 most intense peaks (5 to 70 degrees two-theta), in order of rising 2θ:
| two_theta | I_rel | h k l |
| --- | --- | --- |
| 25.1 | 43 | 3 1 -1 |
| 26.5 | 100 | 3 1 1 |
| 28.3 | 23 | 1 1 -2 |
| 31.6 | 28 | 3 1 -2 |
| 32.2 | 36 | 0 2 0 |
| 33.3 | 20 | 6 0 0 |

3.
For Ba7Cd3N2, a crystal structure in Alexandria, relaxed with PBE gives the theoretical powder XRD pattern in this record (Cu Kα (λ = 1.5418 Å)).

Crystal structure
```
data_Ba7Cd3N2
_symmetry_space_group_name_H-M 'C m m m'
_symmetry_Int_Tables_number 65
_symmetry_space_group_name_Hall '-C 2 2'
_cell_length_a 5.5724
_cell_length_b 38.3320
_cell_length_c 5.5721
_cell_angle_alpha 90.00
_cell_angle_beta 90.00
_cell_angle_gamma 90.00
loop_
_atom_site_label
_atom_site_type_symbol
_atom_site_fract_x
_atom_site_fract_y
_atom_site_fract_z
Ba1 Ba 0.0000 0.0000 0.0000
Ba2 Ba 0.0000 0.0728 0.5000
Ba3 Ba 0.0000 0.1483 0.0000
Ba4 Ba 0.0000 0.4272 0.0000
Cd1 Cd 0.0000 0.3625 0.5000
Cd2 Cd 0.0000 0.5000 0.5000
N1 N 0.0000 0.0832 0.0000
```

The 6 most intense peaks (5 to 70 degrees two-theta), in order of rising 2θ:
| two_theta | I_rel | h k l |
| --- | --- | --- |
| 9.2 | 23 | 0 4 0 |
| 25.4 | 17 | 1 5 1 |
| 27.9 | 100 | 1 7 1 |
| 32.1 | 37 | 2 0 0 |
| 46.5 | 23 | 2 14 0 |
| 54.7 | 31 | 3 7 1 |

4.
For Ba6Cd2NO, a crystal structure in Alexandria, relaxed with PBE gives the theoretical powder XRD pattern in this record (Cu Kα (λ = 1.5418 Å)).

Crystal structure
```
data_Ba6Cd2NO
_symmetry_space_group_name_H-M 'I 4'
_symmetry_Int_Tables_number 79
_symmetry_space_group_name_Hall 'I 4'
_cell_length_a 7.7266
_cell_length_b 7.7266
_cell_length_c 12.2018
_cell_angle_alpha 90.00
_cell_angle_beta 90.00
_cell_angle_gamma 90.00
loop_
_atom_site_label
_atom_site_type_symbol
_atom_site_fract_x
_atom_site_fract_y
_atom_site_fract_z
Ba1 Ba 0.0000 0.0000 0.0000
Ba2 Ba 0.0000 0.0000 0.4901
Ba3 Ba 0.2486 0.2496 0.2347
Cd1 Cd 0.0000 0.5000 0.4830
N1 N 0.0000 0.0000 0.2076
O1 O 0.0000 0.0000 0.6972
```

The 6 most intense peaks (5 to 70 degrees two-theta), in order of rising 2θ:
| two_theta | I_rel | h k l |
| --- | --- | --- |
| 27.3 | 100 | 2 0 2 |
| 29.3 | 23 | 0 0 4 |
| 32.8 | 35 | 2 2 0 |
| 44.5 | 28 | 2 2 4 |
| 50.7 | 18 | 2 0 6 |
| 55.3 | 28 | 4 2 2 |